No. 1
# Tm5Re2O12
Simulated PXRD pattern, Cu Kα (λ = 1.5418 Å). Input: a crystal structure in the Materials Project, relaxed with PBE.
Intensities are scaled so that the largest is 100.

Largest 10 diffraction maxima, low angle first, 15° ≤ 2θ ≤ 90°:
2θ 27.85, rel. 97
2θ 28.75, rel. 100
2θ 33.20, rel. 37
2θ 33.35, rel. 37
2θ 34.30, rel. 23
2θ 35.42, rel. 21
2θ 40.95, rel. 26
2θ 46.63, rel. 28
2θ 48.91, rel. 24
2θ 56.75, rel. 25

```
data_Tm5Re2O12
_symmetry_space_group_name_H-M 'C 1 2/m 1'
_symmetry_Int_Tables_number 12
_symmetry_space_group_name_Hall '-C 2y'
_cell_length_a 12.285
_cell_length_b 5.625
_cell_length_c 7.449
_cell_angle_alpha 90.00
_cell_angle_beta 107.91
_cell_angle_gamma 90.00
loop_
_atom_site_label
_atom_site_type_symbol
_atom_site_fract_x
_atom_site_fract_y
_atom_site_fract_z
Tm1 Tm 0.000 0.000 0.000
Tm2 Tm 0.186 0.500 0.322
Tm3 Tm 0.198 0.500 0.859
Re1 Re 0.000 0.215 0.500
O1 O 0.001 0.500 0.681
O2 O 0.002 0.000 0.292
O3 O 0.154 0.252 0.073
O4 O 0.167 0.254 0.587
```

---

No. 2
# UReO3
Simulated PXRD pattern, Cu Kα (λ = 1.5418 Å). Input: a crystal structure in the Materials Project, relaxed with PBE.
Intensities are scaled so that the largest is 100.

Largest 8 diffraction maxima, low angle first, 15° ≤ 2θ ≤ 90°:
2θ 31.79, rel. 100
2θ 39.19, rel. 2
2θ 45.57, rel. 25
2θ 56.63, rel. 41
2θ 66.42, rel. 16
2θ 75.52, rel. 18
2θ 79.92, rel. 1
2θ 84.25, rel. 6

```
data_UReO3
_symmetry_space_group_name_H-M 'P m -3 m'
_symmetry_Int_Tables_number 221
_symmetry_space_group_name_Hall '-P 4 2 3'
_cell_length_a 3.981
_cell_length_b 3.981
_cell_length_c 3.981
_cell_angle_alpha 90.00
_cell_angle_beta 90.00
_cell_angle_gamma 90.00
loop_
_atom_site_label
_atom_site_type_symbol
_atom_site_fract_x
_atom_site_fract_y
_atom_site_fract_z
U1 U 0.000 0.000 0.000
Re1 Re 0.500 0.500 0.500
O1 O 0.000 0.500 0.500
```

---

No. 3
# Y5Re2O12
Simulated PXRD pattern, Cu Kα (λ = 1.5418 Å). Input: a crystal structure in the Materials Project, relaxed with PBE.
Intensities are scaled so that the largest is 100.

Largest 10 diffraction maxima, low angle first, 15° ≤ 2θ ≤ 90°:
2θ 16.16, rel. 61
2θ 22.13, rel. 42
2θ 24.68, rel. 64
2θ 27.44, rel. 100
2θ 28.32, rel. 100
2θ 32.65, rel. 44
2θ 32.80, rel. 44
2θ 33.88, rel. 42
2θ 40.38, rel. 68
2θ 55.85, rel. 41

```
data_Y5Re2O12
_symmetry_space_group_name_H-M 'C 1 2/m 1'
_symmetry_Int_Tables_number 12
_symmetry_space_group_name_Hall '-C 2y'
_cell_length_a 12.487
_cell_length_b 5.690
_cell_length_c 7.570
_cell_angle_alpha 90.00
_cell_angle_beta 107.90
_cell_angle_gamma 90.00
loop_
_atom_site_label
_atom_site_type_symbol
_atom_site_fract_x
_atom_site_fract_y
_atom_site_fract_z
Y1 Y 0.000 0.000 0.000
Y2 Y 0.186 0.500 0.325
Y3 Y 0.197 0.500 0.859
Re1 Re 0.000 0.214 0.500
O1 O 0.001 0.000 0.294
O2 O 0.001 0.500 0.677
O3 O 0.154 0.252 0.074
O4 O 0.165 0.254 0.584
```

---

No. 4
# Y2ReO5
Simulated PXRD pattern, Cu Kα (λ = 1.5418 Å). Input: a crystal structure in the Materials Project, relaxed with PBE.
Intensities are scaled so that the largest is 100.

Largest 10 diffraction maxima, low angle first, 15° ≤ 2θ ≤ 90°:
2θ 20.71, rel. 52
2θ 28.05, rel. 100
2θ 29.45, rel. 40
2θ 33.02, rel. 100
2θ 33.18, rel. 49
2θ 39.43, rel. 29
2θ 47.40, rel. 42
2θ 53.51, rel. 20
2θ 53.93, rel. 21
2θ 63.28, rel. 23

```
data_Y2ReO5
_symmetry_space_group_name_H-M 'P 4/n'
_symmetry_Int_Tables_number 85
_cell_length_a 8.577
_cell_length_b 8.577
_cell_length_c 5.690
_cell_angle_alpha 90.00
_cell_angle_beta 90.00
_cell_angle_gamma 90.00
loop_
_symmetry_equiv_pos_as_xyz
'x,y,z'
'-x,-y,-z'
'-y+1/2,x,z'
'y+1/2,-x,-z'
'-x+1/2,-y+1/2,z'
'x+1/2,y+1/2,-z'
'y,-x+1/2,z'
'-y,x+1/2,-z'
loop_
_atom_site_label
_atom_site_type_symbol
_atom_site_fract_x
_atom_site_fract_y
_atom_site_fract_z
Y1 Y 0.100 0.890 0.250
Re1 Re 0.250 0.250 0.149
Re2 Re 0.250 0.250 0.545
O1 O 0.047 0.344 0.602
O2 O 0.048 0.155 0.099
O3 O 0.250 0.750 0.000
O4 O 0.250 0.750 0.500
```